This entry pairs a crystal structure of SiIr2Pb with its calculated XRD peak list. Radiation: Cu Kα (weighted mean of Kα1 and Kα2). Structure: a DFT-relaxed cell (PBE, Alexandria).
Neutral-atom scattering factors, no anomalous dispersion.

Top 6 peaks for 2θ from 15° to 90°, low angle first:
2θ/deg, intensity, index
30.67, 100, 1 0 0
31.85, 75, 0 1 1
35.31, 74, 0 0 3
37.99, 97, 0 1 2
42.73, 56, 1 0 -3
43.19, 87, 1 1 -1

Cell: 2.9643 3.0228 7.7550 Å, 90.00 100.49 90.00°
Space group P2/m (No. 10)
One atom of each set of equivalent atoms:
Si: 0.0000 0.0000 0.0000
Ir: 0.4332 0.5000 0.8186
Pb: 0.5000 0.0000 0.5000